1.
# SmDyTm3
Calculated X-ray powder pattern, Cu Kα, 1.54184 Å. Input: a structure optimized by DFT (GGA-PBE).

Atomic structure:
```
SmDyTm3
1.0
6.225 0.000 0.000
-3.109 5.889 0.000
-0.008 -3.141 8.571
Sm Dy Tm
2 2 6
direct
0.133 0.103 0.349 Sm
0.867 0.897 0.651 Sm
0.334 0.502 0.751 Dy
0.666 0.498 0.249 Dy
0.067 0.301 0.048 Tm
0.266 0.702 0.448 Tm
0.467 0.101 0.852 Tm
0.533 0.899 0.148 Tm
0.734 0.298 0.552 Tm
0.933 0.699 0.952 Tm
```

The 12 most intense peaks (5° ≤ 2θ ≤ 70°), by angle:
two_theta, d (Å), Rel. int.
28.66, 3.115, 24
31.92, 2.804, 24
32.89, 2.723, 100
43.42, 2.084, 16
50.76, 1.799, 20
57.50, 1.603, 20
61.22, 1.514, 19
61.27, 1.513, 4
61.80, 1.501, 14
61.89, 1.499, 3
66.72, 1.402, 3
68.98, 1.361, 3

***

2.
# Ca4Al6SO16
Calculated X-ray powder pattern, Cu Kα, 1.54184 Å. Input: a structure optimized by DFT (GGA-PBE).

Atomic structure:
```
Ca4Al6SO16
1.0
-4.708 4.708 4.708
4.708 -4.708 4.708
4.708 4.708 -4.708
Ca Al S O
4 6 1 16
direct
0.000 0.000 0.534 Ca
0.000 0.534 0.000 Ca
0.466 0.466 0.466 Ca
0.534 0.000 0.000 Ca
0.250 0.500 0.750 Al
0.250 0.750 0.500 Al
0.500 0.250 0.750 Al
0.500 0.750 0.250 Al
0.750 0.250 0.500 Al
0.750 0.500 0.250 Al
0.000 0.000 0.000 S
0.000 0.000 0.817 O
0.000 0.304 0.616 O
0.000 0.616 0.304 O
0.000 0.817 0.000 O
0.183 0.183 0.183 O
0.304 0.000 0.616 O
0.304 0.616 0.000 O
0.312 0.696 0.696 O
0.384 0.384 0.688 O
0.384 0.688 0.384 O
0.616 0.000 0.304 O
0.616 0.304 0.000 O
0.688 0.384 0.384 O
0.696 0.312 0.696 O
0.696 0.696 0.312 O
0.817 0.000 0.000 O
```

The 12 most intense peaks (5° ≤ 2θ ≤ 70°), by angle:
two_theta, d (Å), Rel. int.
23.14, 3.844, 100
26.78, 3.329, 17
32.96, 2.718, 40
38.24, 2.354, 14
40.65, 2.219, 9
42.96, 2.105, 9
45.17, 2.007, 8
47.30, 1.922, 12
49.35, 1.846, 19
55.19, 1.664, 18
60.63, 1.527, 9
65.79, 1.419, 16

***

3.
# BaCu4F8
Calculated X-ray powder pattern, Cu Kα, 1.54184 Å. Input: a structure optimized by DFT (GGA-PBE).

Atomic structure:
```
BaCu4F8
1.0
0.000 4.712 4.712
4.712 0.000 4.712
4.712 4.712 0.000
Ba Cu F
1 4 8
direct
0.000 0.000 0.000 Ba
0.137 0.621 0.621 Cu
0.621 0.137 0.621 Cu
0.621 0.621 0.137 Cu
0.621 0.621 0.621 Cu
0.396 0.396 0.396 F
0.396 0.396 0.812 F
0.396 0.812 0.396 F
0.453 0.849 0.849 F
0.812 0.396 0.396 F
0.849 0.453 0.849 F
0.849 0.849 0.453 F
0.849 0.849 0.849 F
```

The 12 most intense peaks (5° ≤ 2θ ≤ 70°), by angle:
two_theta, d (Å), Rel. int.
16.29, 5.441, 41
18.83, 4.712, 31
26.76, 3.332, 29
31.49, 2.841, 100
32.93, 2.720, 19
38.20, 2.356, 20
41.78, 2.162, 10
42.92, 2.107, 11
50.31, 1.814, 51
55.13, 1.666, 44
64.88, 1.437, 14
65.73, 1.421, 11

***

4.
# ZnHg5
Calculated X-ray powder pattern, Cu Kα, 1.54184 Å. Input: a structure optimized by DFT (GGA-PBE).

Atomic structure:
```
ZnHg5
1.0
2.210 -7.832 0.000
2.210 7.832 0.000
0.000 0.000 4.392
Zn Hg
1 5
direct
0.000 0.000 0.000 Zn
0.161 0.839 0.500 Hg
0.338 0.662 0.000 Hg
0.500 0.500 0.500 Hg
0.662 0.338 0.000 Hg
0.839 0.161 0.500 Hg
```

The 12 most intense peaks (5° ≤ 2θ ≤ 70°), by angle:
two_theta, d (Å), Rel. int.
20.88, 4.255, 2
22.71, 3.916, 3
29.22, 3.056, 3
33.49, 2.676, 100
34.35, 2.611, 23
40.82, 2.210, 15
41.10, 2.196, 14
54.39, 1.687, 13
54.61, 1.681, 12
59.32, 1.558, 10
60.98, 1.519, 17
69.67, 1.350, 12

***

5.
# Ce3PuBi2
Calculated X-ray powder pattern, Cu Kα, 1.54184 Å. Input: a structure optimized by DFT (GGA-PBE).

Atomic structure:
```
Ce3PuBi2
1.0
4.549 0.000 0.000
0.000 4.549 0.000
0.000 0.000 8.984
Ce Pu Bi
3 1 2
direct
0.000 0.000 0.000 Ce
0.000 0.500 0.652 Ce
0.500 0.000 0.348 Ce
0.500 0.500 0.000 Pu
0.000 0.500 0.282 Bi
0.500 0.000 0.718 Bi
```

The 12 most intense peaks (5° ≤ 2θ ≤ 70°), by angle:
two_theta, d (Å), Rel. int.
21.90, 4.058, 16
29.50, 3.028, 79
29.84, 2.995, 39
34.29, 2.615, 100
35.90, 2.501, 22
39.63, 2.274, 54
50.38, 1.811, 37
57.29, 1.608, 19
58.87, 1.569, 17
65.75, 1.420, 16
65.93, 1.417, 17
68.49, 1.370, 28

***

6.
# V3Pb3N5
Calculated X-ray powder pattern, Cu Kα, 1.54184 Å. Input: a structure optimized by DFT (GGA-PBE).

Atomic structure:
```
V3Pb3N5
1.0
5.979 0.000 0.000
-1.742 7.532 0.000
-1.044 -2.782 8.128
V Pb N
6 6 10
direct
0.046 0.185 0.020 V
0.082 0.424 0.711 V
0.322 0.510 0.394 V
0.678 0.490 0.606 V
0.918 0.576 0.289 V
0.954 0.815 0.980 V
0.230 0.025 0.439 Pb
0.383 0.840 0.775 Pb
0.473 0.681 0.129 Pb
0.527 0.319 0.871 Pb
0.617 0.160 0.225 Pb
0.770 0.975 0.561 Pb
0.060 0.365 0.224 N
0.088 0.296 0.857 N
0.197 0.707 0.442 N
0.219 0.013 0.022 N
0.331 0.440 0.587 N
0.669 0.560 0.413 N
0.781 0.987 0.978 N
0.803 0.293 0.558 N
0.912 0.704 0.143 N
0.940 0.635 0.776 N
```

The 12 most intense peaks (5° ≤ 2θ ≤ 70°), by angle:
two_theta, d (Å), Rel. int.
15.52, 5.710, 45
25.81, 3.452, 31
27.08, 3.293, 87
27.43, 3.252, 28
30.48, 2.933, 100
31.07, 2.878, 46
31.60, 2.831, 48
32.91, 2.722, 69
33.67, 2.662, 80
35.66, 2.518, 49
36.98, 2.431, 35
48.63, 1.872, 39

***

7.
# La3Hg2
Calculated X-ray powder pattern, Cu Kα, 1.54184 Å. Input: a structure optimized by DFT (GGA-PBE).

Atomic structure:
```
La3Hg2
1.0
-1.959 1.959 10.107
1.959 -1.959 10.107
1.959 1.959 -10.107
La Hg
3 2
direct
0.000 0.000 0.000 La
0.190 0.190 0.000 La
0.810 0.810 0.000 La
0.400 0.400 0.000 Hg
0.600 0.600 0.000 Hg
```

The 12 most intense peaks (5° ≤ 2θ ≤ 70°), by angle:
two_theta, d (Å), Rel. int.
17.55, 5.054, 4
31.80, 2.814, 100
32.31, 2.771, 49
37.00, 2.429, 3
44.84, 2.021, 9
46.35, 1.959, 18
46.61, 1.949, 4
56.34, 1.633, 18
57.31, 1.608, 38
66.46, 1.407, 11
67.63, 1.385, 6
67.84, 1.382, 2

***

8.
# LaTmAlSn
Calculated X-ray powder pattern, Cu Kα, 1.54184 Å. Input: a structure optimized by DFT (GGA-PBE).

Atomic structure:
```
LaTmAlSn
1.0
0.000 3.775 3.775
3.775 0.000 3.775
3.775 3.775 0.000
La Tm Al Sn
1 1 1 1
direct
0.000 0.000 0.000 La
0.500 0.500 0.500 Tm
0.250 0.250 0.250 Al
0.750 0.750 0.750 Sn
```

The 10 most intense peaks (5° ≤ 2θ ≤ 70°), by angle:
two_theta, d (Å), Rel. int.
20.37, 4.359, 11
23.57, 3.775, 15
33.57, 2.669, 100
39.59, 2.276, 6
41.43, 2.179, 4
48.22, 1.887, 18
52.86, 1.732, 3
54.34, 1.688, 6
60.03, 1.541, 38
64.09, 1.453, 2

***

9.
# Dy7CdIn5
Calculated X-ray powder pattern, Cu Kα, 1.54184 Å. Input: a structure optimized by DFT (GGA-PBE).

Atomic structure:
```
Dy7CdIn5
1.0
-3.263 5.246 5.388
3.263 -5.246 5.388
3.263 5.246 -5.388
Dy Cd In
7 1 5
direct
0.000 0.000 0.000 Dy
0.275 0.591 0.684 Dy
0.364 0.364 0.000 Dy
0.411 0.080 0.331 Dy
0.749 0.080 0.669 Dy
0.831 0.331 0.500 Dy
0.907 0.591 0.316 Dy
0.666 0.666 0.000 Cd
0.078 0.076 0.476 In
0.078 0.602 0.001 In
0.330 0.830 0.500 In
0.601 0.076 0.999 In
0.601 0.602 0.524 In
```

The 12 most intense peaks (5° ≤ 2θ ≤ 70°), by angle:
two_theta, d (Å), Rel. int.
27.33, 3.263, 33
28.96, 3.083, 43
32.06, 2.791, 36
32.31, 2.771, 33
33.24, 2.696, 68
33.49, 2.676, 79
36.46, 2.464, 100
37.10, 2.423, 25
38.18, 2.357, 38
52.35, 1.748, 26
60.02, 1.541, 26
61.53, 1.507, 35

***

10.
# LiTb2NpSe5
Calculated X-ray powder pattern, Cu Kα, 1.54184 Å. Input: a structure optimized by DFT (GGA-PBE).

Atomic structure:
```
LiTb2NpSe5
1.0
2.035 -8.507 0.000
2.035 8.507 0.000
0.000 0.000 12.413
Li Tb Np Se
2 4 2 10
direct
0.019 0.981 0.500 Li
0.981 0.019 0.000 Li
0.374 0.626 0.319 Tb
0.391 0.609 0.709 Tb
0.609 0.391 0.209 Tb
0.626 0.374 0.819 Tb
0.302 0.698 0.027 Np
0.698 0.302 0.527 Np
0.001 0.999 0.806 Se
0.134 0.866 0.024 Se
0.191 0.809 0.363 Se
0.213 0.787 0.689 Se
0.454 0.546 0.099 Se
0.546 0.454 0.599 Se
0.787 0.213 0.189 Se
0.809 0.191 0.863 Se
0.866 0.134 0.524 Se
0.999 0.001 0.306 Se
```

The 12 most intense peaks (5° ≤ 2θ ≤ 70°), by angle:
two_theta, d (Å), Rel. int.
10.40, 8.507, 16
17.69, 5.014, 18
22.09, 4.024, 18
23.92, 3.721, 15
31.27, 2.860, 100
32.39, 2.764, 34
37.37, 2.406, 62
39.84, 2.263, 14
44.51, 2.035, 23
45.08, 2.011, 15
45.87, 1.978, 13
56.11, 1.639, 15